The following is a computed XRD peak list of SrAcBN2. It was derived from the PBE geometry in Alexandria, using Cu Kα.

Atomic structure:
Cell lengths 8.134, 12.367, 5.375 Å; angles 90.00, 90.00, 90.00 degrees
Space group Cmme (No. 67)
Symmetry-distinct sites (fractional):
Sr 0.000 0.250 0.128
Ac 0.250 0.000 0.500
B 0.000 0.000 0.000
N 0.000 0.048 0.225

The 8 most intense peaks (15 to 90 degrees two-theta), by angle:
two_theta, Rel. int.
16.5, 25
21.9, 100
26.2, 65
27.5, 66
28.9, 36
31.1, 32
40.3, 63
50.2, 37